# 1
Diffraction record for Rh3AuSe. The powder X-ray diffraction pattern is calculated, not measured: it uses a DFT-relaxed cell (PBE, Alexandria) and CuKα.

Crystal structure
```
5
Lattice="4.545 0.000 0.000 0.000 4.545 0.000 0.000 0.000 4.545" Properties=species:S:1:pos:R:3 pbc="T T T"
Rh 0.000 0.000 2.272
Rh 0.000 2.272 0.000
Rh 2.272 0.000 0.000
Au 2.272 2.272 2.272
Se 0.000 0.000 0.000
```

Main lines, in order of falling intensity (2θ from 15° to 90°):
two_theta  I (rel.)
34.17  100
39.66  93
57.34  62
27.76  39
68.47  39
71.97  21
49.10  17
85.45  10
78.79  9
64.88  8

# 2
Diffraction record for TlRhAuSe. The powder X-ray diffraction pattern is calculated, not measured: it uses a DFT-relaxed cell (PBE, Alexandria) and CuKα.

Crystal structure
```
8
Lattice="3.986 0.000 0.000 0.000 3.986 0.000 0.000 0.000 11.978" Properties=species:S:1:pos:R:3 pbc="T T T"
Tl 0.996 0.996 2.370
Tl 2.989 2.989 9.608
Rh 0.996 2.989 5.989
Rh 2.989 0.996 5.989
Au 0.996 2.989 0.000
Au 2.989 0.996 0.000
Se 0.996 0.996 7.463
Se 2.989 2.989 4.514
```

Main lines, in order of falling intensity (2θ from 15° to 90°):
two_theta  I (rel.)
35.19  100
45.50  47
26.87  39
44.13  28
37.56  26
77.36  25
66.30  23
23.52  23
60.43  20
31.72  18

# 3
Diffraction record for Sm7Rh2Au2. The powder X-ray diffraction pattern is calculated, not measured: it uses a DFT-relaxed cell (PBE, Alexandria) and CuKα.

Crystal structure
```
11
Lattice="-1.974 7.902 4.851 1.974 -7.902 4.851 1.974 7.902 -4.851" Properties=species:S:1:pos:R:3 pbc="T T T"
Sm 0.000 0.000 0.000
Sm 1.974 3.010 -0.901
Sm 1.974 -1.833 2.778
Sm 1.974 1.833 2.778
Sm 1.974 6.215 1.241
Sm 0.000 4.892 3.950
Sm 0.000 1.687 6.092
Rh 0.000 0.000 3.699
Rh 0.000 7.902 2.860
Au 0.000 3.727 1.153
Au 0.000 12.078 1.153
```

Main lines, in order of falling intensity (2θ from 15° to 90°):
two_theta  I (rel.)
33.38  100
29.72  81
37.71  40
33.86  39
38.88  36
45.96  35
28.19  28
61.74  20
35.89  18
32.49  17